For Mn6PbO12, the PBE+U geometry in Alexandria gives the calculated XRD peak list in this record (Cu Kα (λ = 1.5418 Å)).
Intensities are scaled so that the largest is 100.

Principal peaks in the range 10 to 80 degrees two-theta, by angle:
| two_theta | I/Imax | h k l |
| --- | --- | --- |
| 19.6 | 40.0 | 0 2 0 |
| 23.4 | 100.0 | 2 2 -1 |
| 26.7 | 36.9 | 2 2 0 |
| 26.8 | 36.6 | 2 2 -2 |
| 28.4 | 43.2 | 2 0 1 |
| 28.5 | 75.7 | 4 0 -1 |
| 28.6 | 76.0 | 2 0 -3 |
| 28.8 | 42.9 | 4 0 -3 |
| 36.1 | 67.1 | 3 3 -1 |
| 40.5 | 34.7 | 2 0 2 |

```
data_Mn6PbO12
_cell_length_a 13.9219
_cell_length_b 9.0384
_cell_length_c 9.8228
_cell_angle_alpha 90.00
_cell_angle_beta 134.42
_cell_angle_gamma 90.00
_space_group_name_H-M_alt 'C 1 2/m 1'
_space_group_IT_number 12
loop_
_space_group_symop_operation_xyz
'x,y,z'
'-x,-y,-z'
'-x,y,-z'
'x,-y,z'
'x+1/2,y+1/2,z'
'-x+1/2,-y+1/2,-z'
'-x+1/2,y+1/2,-z'
'x+1/2,-y+1/2,z'
loop_
_atom_site_label
_atom_site_type_symbol
_atom_site_fract_x
_atom_site_fract_y
_atom_site_fract_z
Mn1 Mn 0.1465 0.0000 0.4752
Mn2 Mn 0.1492 0.3335 0.4832
Mn3 Mn 0.1646 0.1664 0.8157
Mn4 Mn 0.1693 0.5000 0.8183
Pb1 Pb 0.0000 0.2749 0.0000
O1 O 0.0430 0.3327 0.7133
O2 O 0.0443 0.0000 0.7178
O3 O 0.1516 0.1747 0.3461
O4 O 0.1584 0.5000 0.3579
O5 O 0.1602 0.1668 0.6172
O6 O 0.1629 0.5000 0.6191
O7 O 0.1979 0.1747 0.0497
O8 O 0.2023 0.5000 0.0476
```

For MnPb2O4, the PBE+U geometry in Alexandria gives the calculated XRD peak list in this record (Cu Kα (λ = 1.5418 Å)).
Intensities are scaled so that the largest is 100.

Principal peaks in the range 10 to 80 degrees two-theta, by angle:
| two_theta | I/Imax | h k l |
| --- | --- | --- |
| 15.2 | 16.7 | 0 2 0 |
| 16.8 | 26.7 | 1 1 0 |
| 27.5 | 100.0 | 1 3 0 |
| 28.1 | 25.8 | 0 0 1 |
| 30.1 | 28.3 | 2 0 0 |
| 32.9 | 36.6 | 1 1 1 |
| 39.7 | 44.6 | 1 3 1 |
| 41.7 | 21.7 | 2 0 1 |
| 44.6 | 23.8 | 2 2 1 |
| 65.5 | 17.5 | 1 3 2 |

```
data_MnPb2O4
_cell_length_a 5.9399
_cell_length_b 11.6243
_cell_length_c 3.1714
_cell_angle_alpha 90.00
_cell_angle_beta 90.00
_cell_angle_gamma 90.00
_space_group_name_H-M_alt 'C m m m'
_space_group_IT_number 65
_space_group_name_Hall '-C 2 2'
loop_
_atom_site_label
_atom_site_type_symbol
_atom_site_fract_x
_atom_site_fract_y
_atom_site_fract_z
Mn1 Mn 0.0000 0.0000 0.0000
Pb1 Pb 0.0000 0.3346 0.5000
O1 O 0.2105 0.0000 0.5000
O2 O 0.2500 0.2500 0.0000
```

For MnPbO3, the PBE+U geometry in Alexandria gives the calculated XRD peak list in this record (Cu Kα (λ = 1.5418 Å)).
Intensities are scaled so that the largest is 100.

Principal peaks in the range 10 to 80 degrees two-theta, by angle:
| two_theta | I/Imax | h k l |
| --- | --- | --- |
| 23.3 | 43.5 | 1 1 -1 |
| 25.5 | 93.6 | 1 1 1 |
| 27.3 | 100.0 | 2 1 -1 |
| 27.7 | 38.9 | 3 0 0 |
| 30.6 | 33.3 | 0 2 0 |
| 31.0 | 71.1 | 2 1 1 |
| 33.2 | 35.0 | 1 0 -2 |
| 33.6 | 53.2 | 3 1 -1 |
| 46.1 | 42.2 | 4 0 -2 |
| 56.4 | 36.0 | 1 1 3 |

```
data_MnPbO3
_cell_length_a 9.8126
_cell_length_b 5.8426
_cell_length_c 5.4231
_cell_angle_alpha 90.00
_cell_angle_beta 99.89
_cell_angle_gamma 90.00
_space_group_name_H-M_alt 'P 1 2/c 1'
_space_group_IT_number 13
loop_
_space_group_symop_operation_xyz
'x,y,z'
'-x,-y,-z'
'-x,y,-z+1/2'
'x,-y,z+1/2'
loop_
_atom_site_label
_atom_site_type_symbol
_atom_site_fract_x
_atom_site_fract_y
_atom_site_fract_z
Mn1 Mn 0.0000 0.1236 0.2500
Mn2 Mn 0.0000 0.3746 0.7500
Pb1 Pb 0.3729 0.2494 0.9604
O1 O 0.0991 0.3759 0.1117
O2 O 0.1027 0.1261 0.6268
O3 O 0.5000 0.0031 0.2500
O4 O 0.5000 0.4968 0.7500
```

For MnPtPbO6, the PBE+U geometry in Alexandria gives the calculated XRD peak list in this record (Cu Kα (λ = 1.5418 Å)).
Intensities are scaled so that the largest is 100.

Principal peaks in the range 10 to 80 degrees two-theta, by angle:
| two_theta | I/Imax | h k l |
| --- | --- | --- |
| 21.9 | 19.8 | 1 0 1 |
| 27.4 | 100.0 | 1 0 2 |
| 34.7 | 47.9 | 1 1 0 |
| 44.8 | 26.3 | 2 0 2 |
| 52.4 | 40.2 | 1 1 4 |
| 57.8 | 25.3 | 2 1 2 |
| 62.2 | 15.3 | 3 0 0 |
| 62.3 | 9.9 | 1 0 6 |
| 75.2 | 9.9 | 3 0 4 |
| 79.8 | 10.4 | 4 -1 2 |

```
data_MnPtPbO6
_cell_length_a 5.1711
_cell_length_b 5.1711
_cell_length_c 9.4824
_cell_angle_alpha 90.00
_cell_angle_beta 90.00
_cell_angle_gamma 120.00
_space_group_name_H-M_alt 'P -3 1 c'
_space_group_IT_number 163
_space_group_name_Hall '-P 3 2c'
loop_
_atom_site_label
_atom_site_type_symbol
_atom_site_fract_x
_atom_site_fract_y
_atom_site_fract_z
Mn1 Mn 0.3333 0.6667 0.2500
Pt1 Pt 0.3333 0.6667 0.7500
Pb1 Pb 0.0000 0.0000 0.0000
O1 O 0.0109 0.3700 0.1358
```

For Rb2MnPbO4, the PBE+U geometry in Alexandria gives the calculated XRD peak list in this record (Cu Kα (λ = 1.5418 Å)).
Intensities are scaled so that the largest is 100.

Principal peaks in the range 10 to 80 degrees two-theta, by angle:
| two_theta | I/Imax | h k l |
| --- | --- | --- |
| 17.5 | 17.5 | 0 1 1 |
| 17.9 | 20.2 | 1 1 0 |
| 27.4 | 29.6 | 0 0 2 |
| 28.5 | 32.6 | 2 0 0 |
| 29.7 | 100.0 | 1 2 1 |
| 32.9 | 13.8 | 1 1 2 |
| 40.0 | 29.3 | 2 0 2 |
| 49.9 | 18.2 | 1 2 3 |
| 51.2 | 23.0 | 3 2 1 |
| 61.6 | 14.0 | 2 4 2 |

```
data_Rb2MnPbO4
_cell_length_a 6.2613
_cell_length_b 8.0958
_cell_length_c 6.5062
_cell_angle_alpha 90.00
_cell_angle_beta 90.00
_cell_angle_gamma 90.00
_space_group_name_H-M_alt 'P m m n'
_space_group_IT_number 59
loop_
_space_group_symop_operation_xyz
'x,y,z'
'-x,-y,-z'
'-x+1/2,-y+1/2,z'
'x+1/2,y+1/2,-z'
'x+1/2,-y,-z'
'-x+1/2,y,z'
'-x,y+1/2,-z'
'x,-y+1/2,z'
loop_
_atom_site_label
_atom_site_type_symbol
_atom_site_fract_x
_atom_site_fract_y
_atom_site_fract_z
Rb1 Rb 0.2500 0.0092 0.2456
Mn1 Mn 0.2500 0.7500 0.6672
Pb1 Pb 0.2500 0.2500 0.7311
O1 O 0.0028 0.7500 0.5013
O2 O 0.2500 0.5591 0.8007
```

For MnRhPbO6, the PBE+U geometry in Alexandria gives the calculated XRD peak list in this record (Cu Kα (λ = 1.5418 Å)).
Intensities are scaled so that the largest is 100.

Principal peaks in the range 10 to 80 degrees two-theta, by angle:
| two_theta | I/Imax | h k l |
| --- | --- | --- |
| 20.9 | 36.1 | 1 0 1 |
| 26.7 | 100.0 | 1 1 0 |
| 32.6 | 14.3 | 1 1 2 |
| 33.7 | 83.5 | 1 0 3 |
| 38.1 | 23.4 | 2 0 0 |
| 51.8 | 67.1 | 2 1 3 |
| 55.0 | 16.0 | 2 2 0 |
| 62.2 | 15.1 | 3 1 0 |
| 64.3 | 16.4 | 1 1 6 |
| 66.1 | 19.7 | 3 0 3 |

```
data_MnRhPbO6
_cell_length_a 4.7228
_cell_length_b 4.7228
_cell_length_c 9.6541
_cell_angle_alpha 90.00
_cell_angle_beta 90.00
_cell_angle_gamma 90.00
_space_group_name_H-M_alt 'P 42 n m'
_space_group_IT_number 102
loop_
_space_group_symop_operation_xyz
'x,y,z'
'-y+1/2,x+1/2,z+1/2'
'-x,-y,z'
'y+1/2,-x+1/2,z+1/2'
'-x+1/2,y+1/2,z+1/2'
'y,x,z'
'x+1/2,-y+1/2,z+1/2'
'-y,-x,z'
loop_
_atom_site_label
_atom_site_type_symbol
_atom_site_fract_x
_atom_site_fract_y
_atom_site_fract_z
Mn1 Mn 0.0000 0.0000 0.0000
Rh1 Rh 0.0000 0.0000 0.3350
Pb1 Pb 0.0000 0.0000 0.6675
O1 O 0.1754 0.1754 0.1649
O2 O 0.2013 0.2013 0.4892
O3 O 0.2040 0.2040 0.8461
```

For MnPbS2O8, the PBE+U geometry in Alexandria gives the calculated XRD peak list in this record (Cu Kα (λ = 1.5418 Å)).
Intensities are scaled so that the largest is 100.

Principal peaks in the range 10 to 80 degrees two-theta, by angle:
| two_theta | I/Imax | h k l |
| --- | --- | --- |
| 14.4 | 77.9 | 1 0 1 |
| 22.3 | 65.4 | 1 1 2 |
| 23.1 | 34.5 | 1 0 3 |
| 25.5 | 76.2 | 0 0 4 |
| 26.0 | 100.0 | 2 0 0 |
| 29.8 | 48.9 | 2 1 1 |
| 35.0 | 43.1 | 2 1 3 |
| 36.7 | 63.1 | 2 0 4 |
| 43.7 | 39.7 | 3 1 2 |
| 45.5 | 30.4 | 2 2 4 |

```
data_MnPbS2O8
_cell_length_a 6.8617
_cell_length_b 6.8617
_cell_length_c 13.9947
_cell_angle_alpha 90.00
_cell_angle_beta 90.00
_cell_angle_gamma 90.00
_space_group_name_H-M_alt 'P 43 21 2'
_space_group_IT_number 96
loop_
_space_group_symop_operation_xyz
'x,y,z'
'-y+1/2,x+1/2,z+3/4'
'-x,-y,z+1/2'
'y+1/2,-x+1/2,z+1/4'
'x+1/2,-y+1/2,-z+1/4'
'-y,-x,-z+1/2'
'-x+1/2,y+1/2,-z+3/4'
'y,x,-z'
loop_
_atom_site_label
_atom_site_type_symbol
_atom_site_fract_x
_atom_site_fract_y
_atom_site_fract_z
Mn1 Mn 0.1653 0.1653 0.0000
Pb1 Pb 0.2497 0.2497 0.5000
S1 S 0.1741 0.2457 0.2420
O1 O 0.0096 0.6423 0.7533
O2 O 0.1103 0.8388 0.9862
O3 O 0.1147 0.2089 0.6747
O4 O 0.1227 0.1733 0.8457
```